The following is a computed X-ray diffraction stick pattern of CrReBi2O8. It was derived from DFT lattice parameters and positions (PBE+U), using CuKα.
No peak broadening, texture or thermal motion is included.

Atomic structure:
Unit cell a=5.0834 b=6.5037 c=5.0978 alpha=90.00 beta=90.95 gamma=90.00
Space group P2/m (No. 10)
Asymmetric unit:
Cr: 0.0000 0.0000 0.0000 x1
Re: 0.0000 0.5000 0.0000 x1
Bi: 0.5000 0.2451 0.5000 x2
O: 0.1764 0.2710 0.8325 x4
O: 0.2549 0.5000 0.2677 x2
O: 0.2785 0.0000 0.2849 x2

Peak list (10 most intense, 2θ from 10° to 90°, most intense first)
- 2θ 32.68, rel. 100, hkl 1 2 0
- 2θ 24.53, rel. 64, hkl 1 0 -1
- 2θ 24.94, rel. 57, hkl 1 0 1
- 2θ 48.61, rel. 44, hkl 2 2 -1
- 2θ 49.03, rel. 20, hkl 1 2 2
- 2θ 49.10, rel. 19, hkl 2 2 1
- 2θ 35.22, rel. 17, hkl 0 0 2
- 2θ 35.32, rel. 16, hkl 2 0 0
- 2θ 22.18, rel. 16, hkl 1 1 0
- 2θ 17.42, rel. 13, hkl 0 0 1